No. 1
Theoretical powder diffractogram of Na4Be5P6 for Cu Kα, 1.54184 Å, from DFT lattice parameters and positions (GGA-PBE).
Kinematic intensities with the Lorentz-polarization factor, no thermal factor.

The 6 most intense peaks (2θ from 10° to 80°), by angle:
2theta	I_rel
29.1	299
34.4	1000
35.0	438
38.8	368
48.5	261
50.4	287

Cell and atoms:
```
Na4Be5P6
1.0
1.8113 -9.3475 0.0000
1.8113 9.3475 0.0000
0.0000 0.0000 15.3313
Na Be P
8 10 12
direct
0.0077 0.9923 0.5000
0.0217 0.9783 0.2686
0.1580 0.8420 0.7369
0.1940 0.8060 0.1197
0.8060 0.1940 0.6197
0.8420 0.1580 0.2369
0.9783 0.0217 0.7686
0.9923 0.0077 0.0000
0.1533 0.8467 0.4142
0.2802 0.7198 0.4336
0.3257 0.6743 0.8168
0.3655 0.6345 0.0281
0.3893 0.6107 0.4947
0.6107 0.3893 0.9947
0.6345 0.3655 0.5281
0.6743 0.3257 0.3168
0.7198 0.2802 0.9336
0.8467 0.1533 0.9142
0.1405 0.8595 0.9303
0.2015 0.7985 0.5428
0.2312 0.7688 0.3024
0.4165 0.5835 0.8965
0.4401 0.5599 0.6216
0.4477 0.5523 0.1393
0.5523 0.4477 0.6393
0.5599 0.4401 0.1216
0.5835 0.4165 0.3965
0.7688 0.2312 0.8024
0.7985 0.2015 0.0428
0.8595 0.1405 0.4303
```



No. 2
Theoretical powder diffractogram of Na3ScBe for Cu Kα, 1.54184 Å, from DFT lattice parameters and positions (GGA-PBE).
Kinematic intensities with the Lorentz-polarization factor, no thermal factor.

The 6 most intense peaks (2θ from 10° to 80°), by angle:
2theta	I_rel
23.8	159
29.3	1000
33.9	618
48.7	409
57.9	377
60.7	131

Cell and atoms:
```
Na3ScBe
1.0
5.2861 0.0000 0.0000
0.0000 5.2861 0.0000
0.0000 0.0000 5.2861
Na Sc Be
3 1 1
direct
0.0000 0.0000 0.5000
0.0000 0.5000 0.0000
0.5000 0.0000 0.0000
0.5000 0.5000 0.5000
0.0000 0.0000 0.0000
```